Simulated powder XRD pattern of Tb2PrCu2Ge2 for Cu Kα (weighted mean of Kα1 and Kα2), from a structure optimized by DFT (PBE).

Principal peaks in the range 10 to 80 degrees two-theta, in order of rising 2θ:
23.9 deg, rel. 41; 32.5 deg, rel. 95; 34.7 deg, rel. 100; 41.7 deg, rel. 96; 53.8 deg, rel. 22; 55.4 deg, rel. 26; 65.4 deg, rel. 38; 71.7 deg, rel. 24

Cell and atoms:
```
Tb2PrCu2Ge2
1.0
2.1653 1.2502 9.4940
-2.1653 1.2502 9.4940
0.0000 -2.5003 9.4940
Tb Pr Cu Ge
2 1 2 2
direct
0.1275 0.1275 0.1275
0.8725 0.8725 0.8725
0.0000 0.0000 0.0000
0.4052 0.4052 0.4052
0.5948 0.5948 0.5948
0.2605 0.2605 0.2605
0.7395 0.7395 0.7395
```



Simulated powder XRD pattern of CuGePt6 for Cu Kα (weighted mean of Kα1 and Kα2), from a structure optimized by DFT (PBE).

Principal peaks in the range 10 to 80 degrees two-theta, in order of rising 2θ:
28.5 deg, rel. 13; 38.8 deg, rel. 100; 40.7 deg, rel. 90; 44.6 deg, rel. 68; 49.4 deg, rel. 26; 62.2 deg, rel. 12; 68.8 deg, rel. 38; 77.0 deg, rel. 26

Cell and atoms:
```
CuGePt6
1.0
0.0000 3.6868 5.9671
2.7755 0.0000 5.9671
2.7755 3.6868 0.0000
Cu Ge Pt
1 1 6
direct
0.0000 0.0000 0.0000
0.5000 0.5000 0.5000
0.1179 0.1179 0.3821
0.2456 0.2456 0.7544
0.3821 0.3821 0.1179
0.6179 0.6179 0.8821
0.7544 0.7544 0.2456
0.8821 0.8821 0.6179
```



Simulated powder XRD pattern of SmCuGe2Pt5 for Cu Kα (weighted mean of Kα1 and Kα2), from a structure optimized by DFT (PBE).

Principal peaks in the range 10 to 80 degrees two-theta, in order of rising 2θ:
36.1 deg, rel. 100; 38.6 deg, rel. 14; 42.3 deg, rel. 20; 43.6 deg, rel. 38; 59.6 deg, rel. 15; 63.3 deg, rel. 13; 68.2 deg, rel. 12; 75.1 deg, rel. 24

Cell and atoms:
```
SmCuGe2Pt5
1.0
4.1535 0.0000 0.0000
0.0000 4.1535 0.0000
0.0000 0.0000 9.3295
Sm Cu Ge Pt
1 1 2 5
direct
0.0000 0.0000 0.0000
0.0000 0.0000 0.5000
0.5000 0.5000 0.3726
0.5000 0.5000 0.6274
0.0000 0.5000 0.2313
0.0000 0.5000 0.7687
0.5000 0.0000 0.2313
0.5000 0.0000 0.7687
0.5000 0.5000 0.0000
```



Simulated powder XRD pattern of Tb2Cu3Ge4Pt for Cu Kα (weighted mean of Kα1 and Kα2), from a structure optimized by DFT (PBE).

Principal peaks in the range 10 to 80 degrees two-theta, in order of rising 2θ:
34.1 deg, rel. 43; 35.2 deg, rel. 100; 43.5 deg, rel. 46; 49.9 deg, rel. 20; 56.4 deg, rel. 20; 63.2 deg, rel. 15; 68.3 deg, rel. 15; 74.4 deg, rel. 24

Cell and atoms:
```
Tb2Cu3Ge4Pt
1.0
4.1642 0.0000 0.0000
0.0000 4.1642 0.0000
0.0000 0.0000 10.1661
Tb Cu Ge Pt
2 3 4 1
direct
0.0000 0.5000 0.2498
0.5000 0.0000 0.7502
0.0000 0.0000 0.0000
0.0000 0.5000 0.6306
0.5000 0.0000 0.3694
0.0000 0.0000 0.5000
0.0000 0.5000 0.8622
0.5000 0.0000 0.1378
0.5000 0.5000 0.5000
0.5000 0.5000 0.0000
```



Simulated powder XRD pattern of Tb2CuGePt6 for Cu Kα (weighted mean of Kα1 and Kα2), from a structure optimized by DFT (PBE).

Principal peaks in the range 10 to 80 degrees two-theta, in order of rising 2θ:
20.0 deg, rel. 23; 23.2 deg, rel. 61; 38.3 deg, rel. 97; 40.1 deg, rel. 41; 40.7 deg, rel. 100; 43.6 deg, rel. 30; 49.4 deg, rel. 32; 67.5 deg, rel. 30

Cell and atoms:
```
Tb2CuGePt6
1.0
4.8040 -2.7763 0.0000
4.8040 2.7763 0.0000
-3.1889 0.0000 7.6822
Tb Cu Ge Pt
2 1 1 6
direct
0.2002 0.2002 0.1016
0.7998 0.7998 0.8984
0.5000 0.5000 0.0000
0.0000 0.0000 0.5000
0.2513 0.2513 0.7445
0.2514 0.7440 0.7451
0.2560 0.7486 0.2549
0.7440 0.2514 0.7451
0.7486 0.2560 0.2549
0.7487 0.7487 0.2555
```



Simulated powder XRD pattern of TbCuGe2Pt5 for Cu Kα (weighted mean of Kα1 and Kα2), from a structure optimized by DFT (PBE).

Principal peaks in the range 10 to 80 degrees two-theta, in order of rising 2θ:
36.3 deg, rel. 100; 38.7 deg, rel. 13; 42.5 deg, rel. 24; 43.9 deg, rel. 40; 59.9 deg, rel. 15; 63.8 deg, rel. 13; 68.5 deg, rel. 11; 75.7 deg, rel. 24

Cell and atoms:
```
TbCuGe2Pt5
1.0
4.1289 0.0000 0.0000
0.0000 4.1289 0.0000
0.0000 0.0000 9.3034
Tb Cu Ge Pt
1 1 2 5
direct
0.0000 0.0000 0.0000
0.0000 0.0000 0.5000
0.5000 0.5000 0.3723
0.5000 0.5000 0.6277
0.0000 0.5000 0.2282
0.0000 0.5000 0.7718
0.5000 0.0000 0.2282
0.5000 0.0000 0.7718
0.5000 0.5000 0.0000
```



Simulated powder XRD pattern of Pu2CuGe3 for Cu Kα (weighted mean of Kα1 and Kα2), from a structure optimized by DFT (PBE).

Principal peaks in the range 10 to 80 degrees two-theta, in order of rising 2θ:
24.4 deg, rel. 19; 33.1 deg, rel. 100; 42.8 deg, rel. 13; 43.0 deg, rel. 24; 44.8 deg, rel. 11; 55.2 deg, rel. 16; 63.9 deg, rel. 15; 75.2 deg, rel. 10

Cell and atoms:
```
Pu2CuGe3
1.0
4.0433 0.0000 0.0000
0.0000 4.2215 0.0000
0.0000 0.0000 7.2682
Pu Cu Ge
2 1 3
direct
0.0000 0.0000 0.0000
0.0000 0.5000 0.4886
0.5000 0.5000 0.8201
0.5000 0.0000 0.3330
0.5000 0.0000 0.6771
0.5000 0.5000 0.1462
```



Simulated powder XRD pattern of PuCu3Ge3 for Cu Kα (weighted mean of Kα1 and Kα2), from a structure optimized by DFT (PBE).

Principal peaks in the range 10 to 80 degrees two-theta, in order of rising 2θ:
18.5 deg, rel. 41; 25.7 deg, rel. 28; 31.6 deg, rel. 100; 34.8 deg, rel. 35; 35.6 deg, rel. 57; 37.7 deg, rel. 58; 45.6 deg, rel. 47; 46.4 deg, rel. 39

Cell and atoms:
```
PuCu3Ge3
1.0
3.0535 1.7630 7.6445
-3.0535 1.7630 7.6445
0.0000 -3.5259 7.6445
Pu Cu Ge
2 6 6
direct
0.1807 0.1807 0.1807
0.8193 0.8193 0.8193
0.0817 0.5690 0.2638
0.2638 0.0817 0.5690
0.4310 0.7362 0.9183
0.5690 0.2638 0.0817
0.7362 0.9183 0.4310
0.9183 0.4310 0.7362
0.1982 0.6986 0.3603
0.3014 0.6397 0.8018
0.3603 0.1982 0.6986
0.6397 0.8018 0.3014
0.6986 0.3603 0.1982
0.8018 0.3014 0.6397
```



Simulated powder XRD pattern of PuCu4Ge2 for Cu Kα (weighted mean of Kα1 and Kα2), from a structure optimized by DFT (PBE).

Principal peaks in the range 10 to 80 degrees two-theta, in order of rising 2θ:
25.2 deg, rel. 34; 29.5 deg, rel. 46; 31.9 deg, rel. 30; 37.5 deg, rel. 97; 40.7 deg, rel. 31; 43.8 deg, rel. 100; 59.0 deg, rel. 31; 76.3 deg, rel. 26

Cell and atoms:
```
PuCu4Ge2
1.0
2.0672 1.1935 7.5392
-2.0672 1.1935 7.5392
0.0000 -2.3870 7.5392
Pu Cu Ge
1 4 2
direct
0.0000 0.0000 0.0000
0.1429 0.1429 0.1429
0.4387 0.4387 0.4387
0.5613 0.5613 0.5613
0.8571 0.8571 0.8571
0.2537 0.2537 0.2537
0.7463 0.7463 0.7463
```



Simulated powder XRD pattern of Pu2Cu2Ge3 for Cu Kα (weighted mean of Kα1 and Kα2), from a structure optimized by DFT (PBE).

Principal peaks in the range 10 to 80 degrees two-theta, in order of rising 2θ:
23.6 deg, rel. 20; 26.6 deg, rel. 17; 32.3 deg, rel. 28; 34.2 deg, rel. 80; 34.9 deg, rel. 100; 41.8 deg, rel. 32; 45.2 deg, rel. 28; 63.2 deg, rel. 20

Cell and atoms:
```
Pu2Cu2Ge3
1.0
2.1627 -9.1135 0.0000
2.1627 9.1135 0.0000
0.0000 0.0000 6.7102
Pu Cu Ge
4 4 6
direct
0.0472 0.9528 0.7500
0.1569 0.8431 0.2500
0.8431 0.1569 0.7500
0.9528 0.0472 0.2500
0.3081 0.6919 0.0624
0.3081 0.6919 0.4376
0.6919 0.3081 0.5624
0.6919 0.3081 0.9376
0.2217 0.7783 0.7500
0.4348 0.5652 0.5614
0.4348 0.5652 0.9386
0.5652 0.4348 0.0614
0.5652 0.4348 0.4386
0.7783 0.2217 0.2500
```



Simulated powder XRD pattern of Pu3CuGe3 for Cu Kα (weighted mean of Kα1 and Kα2), from a structure optimized by DFT (PBE).

Principal peaks in the range 10 to 80 degrees two-theta, in order of rising 2θ:
22.3 deg, rel. 21; 27.1 deg, rel. 19; 32.4 deg, rel. 43; 32.8 deg, rel. 41; 33.0 deg, rel. 100; 34.0 deg, rel. 38; 40.1 deg, rel. 35; 41.4 deg, rel. 53

Cell and atoms:
```
Pu3CuGe3
1.0
5.2776 -2.1810 0.0000
5.2776 2.1810 0.0000
-4.6947 0.0000 13.0934
Pu Cu Ge
6 2 6
direct
0.0297 0.0297 0.3802
0.0924 0.0924 0.9149
0.2535 0.2535 0.2252
0.7465 0.7465 0.7748
0.9076 0.9076 0.0851
0.9703 0.9703 0.6198
0.2523 0.2523 0.5992
0.7477 0.7477 0.4008
0.3650 0.3650 0.4574
0.3829 0.3829 0.9276
0.4476 0.4476 0.7616
0.5524 0.5524 0.2384
0.6172 0.6172 0.0724
0.6350 0.6350 0.5426
```



Simulated powder XRD pattern of Pu5CuGe4 for Cu Kα (weighted mean of Kα1 and Kα2), from a structure optimized by DFT (PBE).

Principal peaks in the range 10 to 80 degrees two-theta, in order of rising 2θ:
23.1 deg, rel. 51; 32.8 deg, rel. 82; 39.4 deg, rel. 100; 46.1 deg, rel. 18; 47.1 deg, rel. 30; 63.0 deg, rel. 51; 75.4 deg, rel. 15; 78.4 deg, rel. 14

Cell and atoms:
```
Pu5CuGe4
1.0
3.8564 0.0000 0.0000
0.0000 3.8564 0.0000
0.0000 0.0000 14.2217
Pu Cu Ge
5 1 4
direct
0.0000 0.0000 0.0000
0.0000 0.0000 0.2024
0.0000 0.0000 0.3995
0.0000 0.0000 0.6005
0.0000 0.0000 0.7976
0.5000 0.5000 0.5000
0.5000 0.5000 0.1027
0.5000 0.5000 0.3044
0.5000 0.5000 0.6956
0.5000 0.5000 0.8973
```